1.
This entry pairs a crystal structure of Pm6Dy3Y2Th with its calculated XRD peak list. Radiation: Cu Kα X-rays. Structure: DFT lattice parameters and positions (GGA-PBE).

Most intense lines, 2θ from 5° to 70°, sorted by position:
two_theta, I/Imax
16.6, 1
30.4, 100
35.2, 51
50.6, 36
60.2, 36
60.2, 7
63.1, 9
63.2, 3

Cell lengths 6.2514, 10.8154, 11.9485 Å; angles 90.00, 100.05, 90.00 degrees
Space group C2/m (No. 12)
Asymmetric unit:
Pm (0.2455, 0.0000, 0.2500) (multiplicity 4)
Pm (0.2486, 0.1648, 0.7504) (multiplicity 8)
Dy (0.0000, 0.1669, 0.0000) (multiplicity 4)
Dy (0.0000, 0.5000, 0.0000) (multiplicity 2)
Y (0.0000, 0.3333, 0.5000) (multiplicity 4)
Th (0.0000, 0.0000, 0.5000) (multiplicity 2)

=====

2.
This entry pairs a crystal structure of Li3Bi2P5O18 with its calculated XRD peak list. Radiation: Cu Kα X-rays. Structure: DFT lattice parameters and positions (GGA-PBE).

Most intense lines, 2θ from 5° to 70°, sorted by position:
two_theta, I/Imax
11.3, 85
17.5, 39
17.6, 62
18.8, 100
20.0, 32
25.5, 53
26.1, 37
26.8, 50

Cell lengths 6.8369, 9.9625, 11.1490 Å; angles 96.46, 93.85, 90.74 degrees
Space group P-1 (No. 2)
Asymmetric unit:
Li (0.0605, 0.1437, 0.3216) (multiplicity 2)
Li (0.1755, 0.8846, 0.1484) (multiplicity 2)
Li (0.3320, 0.3550, 0.3211) (multiplicity 2)
Bi (0.2355, 0.3492, 0.8914) (multiplicity 2)
Bi (0.3245, 0.7554, 0.4549) (multiplicity 2)
P (0.1543, 0.5789, 0.6910) (multiplicity 2)
P (0.1801, 0.2920, 0.5848) (multiplicity 2)
P (0.2201, 0.0103, 0.8888) (multiplicity 2)
P (0.2753, 0.5800, 0.1458) (multiplicity 2)
P (0.4735, 0.0389, 0.3023) (multiplicity 2)
O (0.0191, 0.1993, 0.5179) (multiplicity 2)
O (0.0232, 0.3348, 0.3024) (multiplicity 2)
O (0.0466, 0.0010, 0.7970) (multiplicity 2)
O (0.0745, 0.4348, 0.6165) (multiplicity 2)
O (0.0998, 0.6804, 0.1382) (multiplicity 2)
O (0.2113, 0.4383, 0.0766) (multiplicity 2)
O (0.2238, 0.9211, 0.9889) (multiplicity 2)
O (0.2364, 0.5433, 0.8184) (multiplicity 2)
O (0.2440, 0.1575, 0.9620) (multiplicity 2)
O (0.2544, 0.2447, 0.7074) (multiplicity 2)
O (0.3252, 0.6311, 0.6260) (multiplicity 2)
O (0.3327, 0.5567, 0.2764) (multiplicity 2)
O (0.3372, 0.1543, 0.2878) (multiplicity 2)
O (0.3534, 0.3151, 0.5093) (multiplicity 2)
O (0.3582, 0.9044, 0.3071) (multiplicity 2)
O (0.3672, 0.9354, 0.5916) (multiplicity 2)
O (0.4180, 0.9858, 0.8216) (multiplicity 2)
O (0.4418, 0.6458, 0.0815) (multiplicity 2)

=====

3.
This entry pairs a crystal structure of RbNp2Se4 with its calculated XRD peak list. Radiation: Cu Kα X-rays. Structure: DFT lattice parameters and positions (GGA-PBE).

Most intense lines, 2θ from 5° to 70°, sorted by position:
two_theta, I/Imax
12.3, 80
22.5, 100
28.6, 68
29.3, 78
31.3, 74
38.3, 56
43.0, 40
43.3, 89

Cell lengths 4.2104, 13.9101, 14.4448 Å; angles 90.00, 90.00, 90.00 degrees
Space group Cmcm (No. 63)
Asymmetric unit:
Rb (0.0000, 0.1055, 0.2500) (multiplicity 4)
Np (0.0000, 0.3661, 0.0641) (multiplicity 8)
Se (0.0000, 0.0000, 0.0000) (multiplicity 4)
Se (0.0000, 0.2628, 0.6061) (multiplicity 8)
Se (0.0000, 0.4141, 0.2500) (multiplicity 4)

=====

4.
This entry pairs a crystal structure of LiCu2AgCl4 with its calculated XRD peak list. Radiation: Cu Kα X-rays. Structure: DFT lattice parameters and positions (GGA-PBE).

Most intense lines, 2θ from 5° to 70°, sorted by position:
two_theta, I/Imax
17.7, 31
27.6, 100
28.7, 15
36.9, 15
45.9, 51
46.0, 10
54.3, 13
54.5, 26

Cell lengths 7.8948, 7.9042, 11.2101 Å; angles 90.00, 90.00, 90.00 degrees
Space group Fmm2 (No. 42)
Asymmetric unit:
Li (0.0000, 0.0000, 0.0000) (multiplicity 4)
Cu (0.2500, 0.2500, 0.2494) (multiplicity 8)
Ag (0.0000, 0.0000, 0.4994) (multiplicity 4)
Cl (0.0000, 0.2329, 0.8636) (multiplicity 8)
Cl (0.2332, 0.0000, 0.1363) (multiplicity 8)